Li2FeW: simulated X-ray diffraction stick pattern (Cu Kα (weighted mean of Kα1 and Kα2)), based on DFT lattice parameters and positions (GGA-PBE).

Top 8 peaks for 2θ from 10° to 90°, by intensity:
(0 0 2), 2θ = 18.98°, d = 4.676 Å, I 1000; (1 1 2), 2θ = 43.18°, d = 2.095 Å, I 572; (0 0 4), 2θ = 38.45°, d = 2.341 Å, I 534; (0 1 1), 2θ = 24.96°, d = 3.568 Å, I 278; (1 1 4), 2θ = 55.52°, d = 1.655 Å, I 230; (1 0 1), 2θ = 31.81°, d = 2.813 Å, I 157; (0 2 2), 2θ = 51.21°, d = 1.784 Å, I 146; (1 1 6), 2θ = 72.89°, d = 1.298 Å, I 118

a b c (Å): 2.949 3.859 9.352
angles (deg): 90.00 90.00 90.00
Positions (direct):
Li  0.000  0.000  0.237
Li  0.000  0.000  0.763
Li  0.500  0.500  0.263
Li  0.500  0.500  0.737
Fe  0.000  0.500  0.500
Fe  0.500  0.000  0.000
W  0.000  0.500  0.000
W  0.500  0.000  0.500

LaYGeAs2: simulated X-ray diffraction stick pattern (Cu Kα (weighted mean of Kα1 and Kα2)), based on DFT lattice parameters and positions (GGA-PBE).

Top 8 peaks for 2θ from 10° to 90°, by intensity:
(1 1 1), 2θ = 29.57°, d = 3.021 Å, I 1000; (2 0 0), 2θ = 34.70°, d = 2.585 Å, I 724; (2 0 2), 2θ = 48.95°, d = 1.861 Å, I 540; (0 0 2), 2θ = 33.42°, d = 2.681 Å, I 401; (1 0 0), 2θ = 17.15°, d = 5.170 Å, I 286; (3 1 1), 2θ = 59.07°, d = 1.564 Å, I 274; (2 2 2), 2θ = 61.39°, d = 1.510 Å, I 270; (2 2 0), 2θ = 49.89°, d = 1.828 Å, I 255

a b c (Å): 5.170 5.170 5.362
angles (deg): 90.00 90.00 90.00
Positions (direct):
La  0.000  0.000  0.000
Y  0.500  0.500  0.000
Ge  0.000  0.000  0.500
As  0.000  0.500  0.500
As  0.500  0.000  0.500

Question: Which formula does entry 1 have?
Answer: Li2FeW